Simulated powder diffractogram of CrGe for λ = 1.5418 Å (Cu Kα), from DFT lattice parameters and positions (PBE).

Main lines, most intense first (2θ = 5–70°):
- d 2.195, intensity 100, hkl 1 3 1
- d 2.124, intensity 44, hkl 2 0 2
- d 1.925, intensity 25, hkl 0 2 6
- d 1.990, intensity 20, hkl 1 3 3
- d 3.335, intensity 19, hkl 0 0 4
- d 1.710, intensity 17, hkl 1 1 7
- d 1.674, intensity 15, hkl 2 2 4
- d 2.920, intensity 14, hkl 1 1 3
- d 1.666, intensity 10, hkl 0 4 4
- d 3.718, intensity 2, hkl 1 1 1
- d 1.384, intensity 2, hkl 1 1 9
- d 1.393, intensity 1, hkl 3 1 3

Structural model:
```
data_CrGe
_cell_length_a 4.481
_cell_length_b 7.689
_cell_length_c 13.340
_cell_angle_alpha 90.00
_cell_angle_beta 90.00
_cell_angle_gamma 90.00
_symmetry_space_group_name_H-M 'F d d d'
_symmetry_Int_Tables_number 70
loop_
_symmetry_equiv_pos_as_xyz
'x,y,z'
'-x,-y,-z'
'-x+1/4,-y+1/4,z'
'x+1/4,y+1/4,-z'
'x,-y+1/4,-z+1/4'
'-x,y+1/4,z+1/4'
'-x+1/4,y,-z+1/4'
'x+1/4,-y,z+1/4'
'x,y+1/2,z+1/2'
'-x,-y+1/2,-z+1/2'
'-x+1/4,-y+3/4,z+1/2'
'x+1/4,y+3/4,-z+1/2'
'x,-y+3/4,-z+3/4'
'-x,y+3/4,z+3/4'
'-x+1/4,y+1/2,-z+3/4'
'x+1/4,-y+1/2,z+3/4'
'x+1/2,y,z+1/2'
'-x+1/2,-y,-z+1/2'
'-x+3/4,-y+1/4,z+1/2'
'x+3/4,y+1/4,-z+1/2'
'x+1/2,-y+1/4,-z+3/4'
'-x+1/2,y+1/4,z+3/4'
'-x+3/4,y,-z+3/4'
'x+3/4,-y,z+3/4'
'x+1/2,y+1/2,z'
'-x+1/2,-y+1/2,-z'
'-x+3/4,-y+3/4,z'
'x+3/4,y+3/4,-z'
'x+1/2,-y+3/4,-z+1/4'
'-x+1/2,y+3/4,z+1/4'
'-x+3/4,y+1/2,-z+1/4'
'x+3/4,-y+1/2,z+1/4'
loop_
_atom_site_label
_atom_site_type_symbol
_atom_site_fract_x
_atom_site_fract_y
_atom_site_fract_z
Cr1 Cr 0.125 0.125 0.043
Ge1 Ge 0.125 0.291 0.625
```